# 1
The following is a theoretical powder diffractogram of KGdP4O12. It was derived from a crystal structure in the Materials Project, relaxed with PBE, using Cu Kα, 1.54184 Å.
Lines closer than 0.1° are merged.

Structure:
a b c (Å): 7.9658 12.5929 10.6372
angles (deg): 90.00 110.78 90.00
Space group C2/c (No. 15)
Asymmetric unit:
1 K 0.0000 0.1844 0.2500 (multiplicity 4)
2 Gd 0.0000 0.1203 0.7500 (multiplicity 4)
3 P 0.0435 0.3302 0.9977 (multiplicity 8)
4 P 0.2199 0.4764 0.4433 (multiplicity 8)
5 O 0.0544 0.2455 0.6005 (multiplicity 8)
6 O 0.0721 0.4290 0.9122 (multiplicity 8)
7 O 0.0968 0.3727 0.4339 (multiplicity 8)
8 O 0.1493 0.0121 0.4150 (multiplicity 8)
9 O 0.2099 0.3012 0.1139 (multiplicity 8)
10 O 0.2160 0.0298 0.6721 (multiplicity 8)

Top 6 peaks for 10 to 80 degrees two-theta, by intensity:
(0 2 1), 5.320 Å, 2θ = 16.66°, rel. 100; (1 1 2), 3.452 Å, 2θ = 25.81°, rel. 91; (1 3 -2), 3.226 Å, 2θ = 27.65°, rel. 88; (1 1 -2), 4.682 Å, 2θ = 18.95°, rel. 56; (1 1 -1), 6.342 Å, 2θ = 13.97°, rel. 51; (2 4 0), 2.404 Å, 2θ = 37.41°, rel. 38

=====

# 2
The following is a theoretical powder diffractogram of Na2MgGaF7. It was derived from a crystal structure in the Materials Project, relaxed with PBE, using Cu Kα, 1.54184 Å.
Lines closer than 0.1° are merged.

Structure:
a b c (Å): 7.2335 10.3508 7.5187
angles (deg): 90.00 90.00 90.00
Space group Imma (No. 74)
Asymmetric unit:
1 Na 0.0000 0.0000 0.0000 (multiplicity 4)
2 Na 0.2500 0.2500 0.2500 (multiplicity 4)
3 Mg 0.2500 0.2500 0.7500 (multiplicity 4)
4 Ga 0.0000 0.0000 0.5000 (multiplicity 4)
5 F 0.0000 0.0906 0.2729 (multiplicity 8)
6 F 0.0000 0.2500 0.8509 (multiplicity 4)
7 F 0.1948 0.1149 0.5673 (multiplicity 16)

Top 6 peaks for 10 to 80 degrees two-theta, by intensity:
(0 2 2), 3.042 Å, 2θ = 29.36°, rel. 100; (2 4 2), 1.836 Å, 2θ = 49.65°, rel. 86; (2 2 0), 2.965 Å, 2θ = 30.15°, rel. 84; (1 0 1), 5.213 Å, 2θ = 17.01°, rel. 83; (1 2 1), 3.673 Å, 2θ = 24.23°, rel. 69; (2 2 4), 1.587 Å, 2θ = 58.11°, rel. 39

=====

# 3
The following is a theoretical powder diffractogram of Te4MoW3Se2S2. It was derived from a crystal structure in the Materials Project, relaxed with PBE, using Cu Kα, 1.54184 Å.
Lines closer than 0.1° are merged.

Structure:
a b c (Å): 3.4028 3.4028 38.7656
angles (deg): 90.00 90.00 120.00
Space group P3m1 (No. 156)
Asymmetric unit:
1 Te 0.0000 0.0000 0.0000 (multiplicity 1)
2 Te 0.0000 0.0000 0.0971 (multiplicity 1)
3 Te 0.0000 0.0000 0.3757 (multiplicity 1)
4 Te 0.0000 0.0000 0.4728 (multiplicity 1)
5 Mo 0.0000 0.0000 0.2364 (multiplicity 1)
6 W 0.0000 0.0000 0.8606 (multiplicity 1)
7 W 0.3333 0.6667 0.0485 (multiplicity 1)
8 W 0.3333 0.6667 0.4243 (multiplicity 1)
9 Se 0.3333 0.6667 0.8179 (multiplicity 1)
10 Se 0.3333 0.6667 0.9033 (multiplicity 1)
11 S 0.3333 0.6667 0.1977 (multiplicity 1)
12 S 0.3333 0.6667 0.2751 (multiplicity 1)

Top 6 peaks for 10 to 80 degrees two-theta, by intensity:
(0 0 5), 7.753 Å, 2θ = 11.41°, rel. 100; (1 0 8), 2.518 Å, 2θ = 35.66°, rel. 90; (0 1 13), 2.096 Å, 2θ = 43.16°, rel. 48; (1 0 0), 2.946 Å, 2θ = 30.34°, rel. 40; (1 1 0), 1.701 Å, 2θ = 53.89°, rel. 29; (1 0 10), 2.346 Å, 2θ = 38.37°, rel. 18

=====

# 4
The following is a theoretical powder diffractogram of ScPd3. It was derived from a crystal structure in the Materials Project, relaxed with PBE, using Cu Kα, 1.54184 Å.
Lines closer than 0.1° are merged.

Structure:
a b c (Å): 4.0165 4.0165 4.0165
angles (deg): 90.00 90.00 90.00
Space group Pm-3m (No. 221)
Asymmetric unit:
1 Sc 0.0000 0.0000 0.0000 (multiplicity 1)
2 Pd 0.0000 0.5000 0.5000 (multiplicity 3)

Top 6 peaks for 10 to 80 degrees two-theta, by intensity:
(1 1 1), 2.319 Å, 2θ = 38.83°, rel. 100; (2 0 0), 2.008 Å, 2θ = 45.15°, rel. 48; (3 1 1), 1.211 Å, 2θ = 79.08°, rel. 35; (2 2 0), 1.420 Å, 2θ = 65.76°, rel. 30; (1 0 0), 4.017 Å, 2θ = 22.13°, rel. 9; (1 1 0), 2.840 Å, 2θ = 31.50°, rel. 8

=====

# 5
The following is a theoretical powder diffractogram of Rb2CdC2Cl2O5. It was derived from a crystal structure in the Materials Project, relaxed with PBE, using Cu Kα, 1.54184 Å.
Lines closer than 0.1° are merged.

Structure:
a b c (Å): 6.1167 11.0515 15.8265
angles (deg): 90.00 90.00 90.00
Space group Pbcm (No. 57)
Asymmetric unit:
1 Rb 0.1621 0.1113 0.1144 (multiplicity 8)
2 Cd 0.3511 0.0859 0.7500 (multiplicity 4)
3 C 0.1717 0.6796 0.7500 (multiplicity 4)
4 C 0.3111 0.7012 0.2500 (multiplicity 4)
5 Cl 0.3411 0.0853 0.5850 (multiplicity 8)
6 O 0.0325 0.1968 0.7500 (multiplicity 4)
7 O 0.1998 0.6042 0.2500 (multiplicity 4)
8 O 0.2198 0.7500 0.0000 (multiplicity 4)
9 O 0.2678 0.5780 0.7500 (multiplicity 4)
10 O 0.4830 0.2091 0.2500 (multiplicity 4)

Top 6 peaks for 10 to 80 degrees two-theta, by intensity:
(0 0 2), 7.913 Å, 2θ = 11.18°, rel. 100; (1 3 0), 3.156 Å, 2θ = 28.28°, rel. 92; (2 1 1), 2.898 Å, 2θ = 30.86°, rel. 73; (1 1 0), 5.352 Å, 2θ = 16.56°, rel. 66; (0 2 3), 3.816 Å, 2θ = 23.31°, rel. 65; (1 2 1), 3.969 Å, 2θ = 22.40°, rel. 62